1.
For Ca3CdAg, a cell relaxed with GGA-PBE gives the calculated PXRD pattern in this record (Cu Ka).
Lines closer than 0.1° are merged.

Structure:
a b c (Å): 9.3987 8.5172 8.4645
angles (deg): 90.00 116.68 90.00
Space group P2_1/c (No. 14)
Symmetry-distinct sites (fractional):
Ca 0.0334 0.0298 0.3104 x4
Ca 0.2737 0.1129 0.0855 x4
Ca 0.3963 0.7127 0.9546 x4
Cd 0.3461 0.0342 0.7256 x4
Ag 0.1121 0.7133 0.5572 x4

Principal peaks in the range 5 to 70 degrees two-theta, most intense first:
hkl, Position (°2θ), intensity
0 2 2, 31.65, 100
3 1 -2, 31.81, 82
1 3 -1, 33.72, 67
1 0 -2, 20.99, 47
2 1 -1, 21.71, 45
2 1 1, 30.48, 38

2.
For Dy4Y6Ho19, a cell relaxed with GGA-PBE gives the calculated PXRD pattern in this record (Cu Ka).
Lines closer than 0.1° are merged.

Structure:
a b c (Å): 12.4031 12.4031 12.4031
angles (deg): 90.00 90.00 90.00
Space group I23 (No. 197)
Symmetry-distinct sites (fractional):
Dy 0.1792 0.1792 0.8208 x8
Y 0.0000 0.3705 0.5000 x12
Ho 0.0000 0.0000 0.0000 x2
Ho 0.0000 0.0000 0.2596 x12
Ho 0.0638 0.2590 0.2767 x24

Principal peaks in the range 5 to 70 degrees two-theta, most intense first:
hkl, Position (°2θ), intensity
4 1 1, 30.58, 100
4 1 3, 36.96, 55
4 0 0, 28.79, 54
4 2 2, 35.46, 37
3 1 2, 26.90, 33
7 1 2, 54.36, 25